For MgCdSe2, a DFT-relaxed cell (PBE, Alexandria) gives the theoretical powder diffractogram in this record (Cu Kα (weighted mean of Kα1 and Kα2)).
Lines closer than 0.1° are merged.

Crystal structure
Cell lengths 6.5912, 7.9646, 6.8893 Å; angles 90.00, 90.00, 90.00 degrees
Fractional positions:
Mg  0.0000  0.1255  0.2500
Mg  0.0000  0.8745  0.7500
Mg  0.5000  0.3745  0.7500
Mg  0.5000  0.6255  0.2500
Cd  0.0000  0.3811  0.7500
Cd  0.0000  0.6189  0.2500
Cd  0.5000  0.1189  0.2500
Cd  0.5000  0.8811  0.7500
Se  0.2425  0.1263  0.5831
Se  0.2425  0.8737  0.0831
Se  0.2575  0.3737  0.0831
Se  0.2575  0.6263  0.5831
Se  0.7425  0.3737  0.4169
Se  0.7425  0.6263  0.9169
Se  0.7575  0.1263  0.9169
Se  0.7575  0.8737  0.4169

The 6 most intense peaks (2θ = 15–90°), low angle first:
4.088 Å, I 22
3.054 Å, I 79
2.382 Å, I 100
1.990 Å, I 54
1.527 Å, I 24
1.269 Å, I 23


For Cs4Au3I, a DFT-relaxed cell (PBE, Alexandria) gives the theoretical powder diffractogram in this record (Cu Kα (weighted mean of Kα1 and Kα2)).
Lines closer than 0.1° are merged.

Crystal structure
Cell lengths 7.5466, 15.0270, 7.5494 Å; angles 90.00, 90.00, 90.00 degrees
Fractional positions:
Cs  0.2500  0.0072  0.2500
Cs  0.2500  0.2500  0.7473
Cs  0.2500  0.4928  0.2500
Cs  0.2500  0.7500  0.7529
Cs  0.7500  0.2500  0.2471
Cs  0.7500  0.5072  0.7500
Cs  0.7500  0.7500  0.2527
Cs  0.7500  0.9928  0.7500
Au  0.2500  0.0000  0.7497
Au  0.2500  0.2500  0.2467
Au  0.2500  0.5000  0.7497
Au  0.7500  0.0000  0.2503
Au  0.7500  0.5000  0.2503
Au  0.7500  0.7500  0.7533
I  0.2500  0.7500  0.2529
I  0.7500  0.2500  0.7471

The 6 most intense peaks (2θ = 15–90°), low angle first:
3.774 Å, I 83
3.757 Å, I 41
2.665 Å, I 100
2.176 Å, I 37
1.687 Å, I 34
1.540 Å, I 25


For MgMnCl6, a DFT-relaxed cell (PBE, Alexandria) gives the theoretical powder diffractogram in this record (Cu Kα (weighted mean of Kα1 and Kα2)).
Lines closer than 0.1° are merged.

Crystal structure
Cell lengths 7.6908, 7.6908, 7.6908 Å; angles 113.27, 113.27, 113.27 degrees
Fractional positions:
Mg  0.0000  0.0000  0.0000
Mn  0.5000  0.5000  0.5000
Cl  0.1109  0.3596  0.3596
Cl  0.3596  0.1109  0.3596
Cl  0.3596  0.3596  0.1109
Cl  0.6404  0.6404  0.8891
Cl  0.6404  0.8891  0.6404
Cl  0.8891  0.6404  0.6404

The 6 most intense peaks (2θ = 15–90°), low angle first:
5.351 Å, I 63
3.463 Å, I 69
2.754 Å, I 65
2.531 Å, I 72
2.170 Å, I 100
1.782 Å, I 49


For Tl6Sn3Hg, a DFT-relaxed cell (PBE, Alexandria) gives the theoretical powder diffractogram in this record (Cu Kα (weighted mean of Kα1 and Kα2)).
Lines closer than 0.1° are merged.

Crystal structure
Cell lengths 12.5772, 3.4037, 15.2006 Å; angles 90.00, 112.90, 90.00 degrees
Fractional positions:
Tl  0.0353  0.2500  0.4125
Tl  0.1470  0.7500  0.9987
Tl  0.1670  0.2500  0.7821
Tl  0.2608  0.7500  0.3906
Tl  0.3309  0.2500  0.2166
Tl  0.4415  0.2500  0.8035
Tl  0.5585  0.7500  0.1965
Tl  0.6691  0.7500  0.7834
Tl  0.7392  0.2500  0.6094
Tl  0.8330  0.7500  0.2179
Tl  0.8530  0.2500  0.0013
Tl  0.9647  0.7500  0.5875
Sn  0.2493  0.7500  0.6102
Sn  0.3870  0.2500  0.9959
Sn  0.4643  0.2500  0.5823
Sn  0.5357  0.7500  0.4177
Sn  0.6130  0.7500  0.0041
Sn  0.7507  0.2500  0.3898
Hg  0.0655  0.7500  0.1780
Hg  0.9345  0.2500  0.8220

The 6 most intense peaks (2θ = 15–90°), low angle first:
2.840 Å, I 100
2.825 Å, I 34
2.800 Å, I 60
2.638 Å, I 85
2.532 Å, I 24
1.430 Å, I 20